[1]
This entry pairs a crystal structure of Lu4CdPd with its computed X-ray powder pattern. Radiation: Cu Kα X-rays. Structure: a DFT-relaxed cell (PBE, the Materials Project).

Cell and atoms:
abc: 13.4123 13.4123 13.4123
angles: 90.00 90.00 90.00
Space group F-43m (No. 216)
Unique sites:
Lu 0.0000 0.0000 0.1836
Lu 0.0616 0.2500 0.7500
Lu 0.1040 0.1040 0.3960
Cd 0.1671 0.1671 0.1671
Pd 0.1049 0.1049 0.6049

Largest 10 diffraction maxima, by angle, 2θ from 15° to 90°:
| 2theta | Rel. int. | (hkl) |
| --- | --- | --- |
| 29.02 | 27.5 | 3 3 1 |
| 32.71 | 48.6 | 4 2 2 |
| 34.76 | 100.0 | 5 1 1 |
| 37.95 | 29.6 | 4 4 0 |
| 56.13 | 9.5 | 7 3 3 |
| 58.38 | 44.9 | 6 6 0 |
| 59.71 | 13.2 | 5 5 5 |
| 69.77 | 15.7 | 9 3 3 |
| 87.22 | 8.8 | 12 0 0 |
| 88.36 | 12.9 | 11 5 1 |

***

[2]
This entry pairs a crystal structure of TiZn3 with its computed X-ray powder pattern. Radiation: Cu Kα X-rays. Structure: a DFT-relaxed cell (PBE, the Materials Project).

Cell and atoms:
abc: 3.9261 3.9261 3.9261
angles: 90.00 90.00 90.00
Space group Pm-3m (No. 221)
Unique sites:
Ti 0.0000 0.0000 0.0000
Zn 0.0000 0.5000 0.5000

Largest 10 diffraction maxima, by angle, 2θ from 15° to 90°:
| 2theta | Rel. int. | (hkl) |
| --- | --- | --- |
| 22.65 | 2.5 | 1 0 0 |
| 32.25 | 2.2 | 1 1 0 |
| 39.77 | 100.0 | 1 1 1 |
| 46.25 | 47.7 | 2 0 0 |
| 52.09 | 1.3 | 2 1 0 |
| 57.50 | 1.0 | 2 1 1 |
| 67.47 | 28.5 | 2 2 0 |
| 72.18 | 0.6 | 3 0 0 |
| 81.27 | 32.6 | 3 1 1 |
| 85.72 | 9.5 | 2 2 2 |